Calculated powder XRD pattern
Compound: SmP2Pt8
Radiation: Cu Kα (weighted mean of Kα1 and Kα2)
Structure: a structure optimized by DFT (PBE)

Atomic structure:
Cell: 8.415 8.415 8.415 Å, 142.17 142.17 54.57°
Sites, in units of the cell vectors:
Sm1 0.000 0.000 0.000
P1 0.250 0.750 0.500
P2 0.750 0.250 0.500
Pt1 0.103 0.103 0.507
Pt2 0.103 0.596 0.000
Pt3 0.404 0.404 0.507
Pt4 0.404 0.897 0.000
Pt5 0.596 0.103 0.000
Pt6 0.596 0.596 0.493
Pt7 0.897 0.404 0.000
Pt8 0.897 0.897 0.493

The 12 most intense peaks (2θ from 10° to 80°), sorted by position:
2θ 11.8, 7.479 Å, intensity 40; 2θ 23.8, 3.739 Å, intensity 50; 2θ 32.8, 2.728 Å, intensity 77; 2θ 35.0, 2.563 Å, intensity 25; 2θ 36.0, 2.493 Å, intensity 32; 2θ 41.0, 2.204 Å, intensity 100; 2θ 47.1, 1.929 Å, intensity 50; 2θ 49.5, 1.840 Å, intensity 39; 2θ 53.5, 1.714 Å, intensity 23; 2θ 60.7, 1.525 Å, intensity 29; 2θ 68.8, 1.364 Å, intensity 16; 2θ 72.0, 1.311 Å, intensity 25